Starting from a structure optimized by DFT (GGA-PBE), the XRD peak list of TaCd2S2 was computed for Cu Kα (λ = 1.5418 Å).
Intensities are scaled so that the largest is 100.

```
data_TaCd2S2
_chemical_formula_sum 'Ta2 Cd4 S4'
_space_group_name_H-M_alt 'P 1'
_space_group_IT_number 1
_cell_length_a 6.526
_cell_length_b 6.526
_cell_length_c 4.974
_cell_angle_alpha 90.00
_cell_angle_beta 90.00
_cell_angle_gamma 90.00
loop_
_space_group_symop_operation_xyz
'x,y,z'
loop_
_atom_site_label
_atom_site_type_symbol
_atom_site_fract_x
_atom_site_fract_y
_atom_site_fract_z
Ta1 Ta 0.000 0.000 0.000
Ta2 Ta 0.500 0.500 0.000
Cd1 Cd 0.162 0.338 0.500
Cd2 Cd 0.338 0.838 0.500
Cd3 Cd 0.662 0.162 0.500
Cd4 Cd 0.838 0.662 0.500
S1 S 0.183 0.683 0.000
S2 S 0.317 0.183 0.000
S3 S 0.683 0.817 0.000
S4 S 0.817 0.317 0.000
```

Main lines, in order of falling intensity (10° ≤ 2θ ≤ 80°):
| d [Å] | I/Imax |
| --- | --- |
| 3.383 | 100 |
| 2.517 | 83 |
| 2.728 | 60 |
| 2.064 | 50 |
| 2.487 | 46 |
| 1.588 | 43 |

---

Starting from a structure optimized by DFT (GGA-PBE), the XRD peak list of In7SnHg3 was computed for Cu Kα (λ = 1.5418 Å).
Intensities are scaled so that the largest is 100.

```
data_In7SnHg3
_chemical_formula_sum 'In7 Sn1 Hg3'
_space_group_name_H-M_alt 'P 1'
_space_group_IT_number 1
_cell_length_a 7.379
_cell_length_b 7.379
_cell_length_c 6.300
_cell_angle_alpha 105.29
_cell_angle_beta 105.29
_cell_angle_gamma 97.33
loop_
_space_group_symop_operation_xyz
'x,y,z'
loop_
_atom_site_label
_atom_site_type_symbol
_atom_site_fract_x
_atom_site_fract_y
_atom_site_fract_z
In1 In 0.000 0.000 0.000
In2 In 0.083 0.571 0.329
In3 In 0.317 0.317 0.966
In4 In 0.429 0.917 0.671
In5 In 0.571 0.083 0.329
In6 In 0.683 0.683 0.034
In7 In 0.917 0.429 0.671
Sn1 Sn 0.000 0.000 0.500
Hg1 Hg 0.267 0.733 0.000
Hg2 Hg 0.500 0.500 0.500
Hg3 Hg 0.733 0.267 0.000
```

Main lines, in order of falling intensity (10° ≤ 2θ ≤ 80°):
| d [Å] | I/Imax |
| --- | --- |
| 2.639 | 100 |
| 2.770 | 82 |
| 3.042 | 72 |
| 2.231 | 60 |
| 2.048 | 44 |
| 3.499 | 32 |

---

Starting from a structure optimized by DFT (GGA-PBE), the XRD peak list of TaTlCu2S4 was computed for Cu Kα (λ = 1.5418 Å).
Intensities are scaled so that the largest is 100.

```
data_TaTlCu2S4
_chemical_formula_sum 'Ta1 Tl1 Cu2 S4'
_space_group_name_H-M_alt 'P 1'
_space_group_IT_number 1
_cell_length_a 6.472
_cell_length_b 6.466
_cell_length_c 6.177
_cell_angle_alpha 61.53
_cell_angle_beta 61.44
_cell_angle_gamma 57.03
loop_
_space_group_symop_operation_xyz
'x,y,z'
loop_
_atom_site_label
_atom_site_type_symbol
_atom_site_fract_x
_atom_site_fract_y
_atom_site_fract_z
Ta1 Ta 0.000 0.000 0.000
Tl1 Tl 0.501 0.501 0.499
Cu1 Cu 0.250 0.250 0.250
Cu2 Cu 0.750 0.750 0.750
S1 S 0.053 0.643 0.947
S2 S 0.357 0.948 0.052
S3 S 0.643 0.053 0.357
S4 S 0.948 0.357 0.643
```

Main lines, in order of falling intensity (10° ≤ 2θ ≤ 80°):
| d [Å] | I/Imax |
| --- | --- |
| 3.222 | 100 |
| 1.808 | 39 |
| 1.888 | 28 |
| 3.088 | 26 |
| 4.368 | 23 |
| 2.184 | 23 |

---

Starting from a structure optimized by DFT (GGA-PBE), the XRD peak list of Ca2Ga5Ni was computed for Cu Kα (λ = 1.5418 Å).
Intensities are scaled so that the largest is 100.

```
data_Ca2Ga5Ni
_chemical_formula_sum 'Ca2 Ga5 Ni1'
_space_group_name_H-M_alt 'P 1'
_space_group_IT_number 1
_cell_length_a 6.085
_cell_length_b 6.085
_cell_length_c 4.597
_cell_angle_alpha 90.00
_cell_angle_beta 90.00
_cell_angle_gamma 90.00
loop_
_space_group_symop_operation_xyz
'x,y,z'
loop_
_atom_site_label
_atom_site_type_symbol
_atom_site_fract_x
_atom_site_fract_y
_atom_site_fract_z
Ca1 Ca 0.000 0.500 0.000
Ca2 Ca 0.500 0.000 0.000
Ga1 Ga 0.000 0.000 0.000
Ga2 Ga 0.287 0.287 0.500
Ga3 Ga 0.287 0.713 0.500
Ga4 Ga 0.713 0.287 0.500
Ga5 Ga 0.713 0.713 0.500
Ni1 Ni 0.000 0.000 0.500
```

Main lines, in order of falling intensity (10° ≤ 2θ ≤ 80°):
| d [Å] | I/Imax |
| --- | --- |
| 2.537 | 100 |
| 2.151 | 53 |
| 2.298 | 40 |
| 2.721 | 38 |
| 4.597 | 36 |
| 1.571 | 36 |

---

Starting from a structure optimized by DFT (GGA-PBE), the XRD peak list of ErCd2Hg7 was computed for Cu Kα (λ = 1.5418 Å).
Intensities are scaled so that the largest is 100.

```
data_ErCd2Hg7
_chemical_formula_sum 'Er2 Cd4 Hg14'
_space_group_name_H-M_alt 'P 1'
_space_group_IT_number 1
_cell_length_a 9.371
_cell_length_b 9.371
_cell_length_c 8.101
_cell_angle_alpha 101.50
_cell_angle_beta 101.50
_cell_angle_gamma 47.21
loop_
_space_group_symop_operation_xyz
'x,y,z'
loop_
_atom_site_label
_atom_site_type_symbol
_atom_site_fract_x
_atom_site_fract_y
_atom_site_fract_z
Er1 Er 0.052 0.948 0.750
Er2 Er 0.948 0.052 0.250
Cd1 Cd 0.292 0.350 0.659
Cd2 Cd 0.350 0.292 0.159
Cd3 Cd 0.650 0.708 0.841
Cd4 Cd 0.708 0.650 0.341
Hg1 Hg 0.133 0.667 0.993
Hg2 Hg 0.134 0.669 0.409
Hg3 Hg 0.137 0.258 0.344
Hg4 Hg 0.258 0.137 0.844
Hg5 Hg 0.331 0.866 0.091
Hg6 Hg 0.333 0.867 0.507
Hg7 Hg 0.465 0.535 0.750
Hg8 Hg 0.535 0.465 0.250
Hg9 Hg 0.667 0.133 0.493
Hg10 Hg 0.669 0.134 0.909
Hg11 Hg 0.742 0.863 0.156
Hg12 Hg 0.863 0.742 0.656
Hg13 Hg 0.866 0.331 0.591
Hg14 Hg 0.867 0.333 0.007
```

Main lines, in order of falling intensity (10° ≤ 2θ ≤ 80°):
| d [Å] | I/Imax |
| --- | --- |
| 2.606 | 100 |
| 2.722 | 94 |
| 2.559 | 93 |
| 2.711 | 86 |
| 2.795 | 83 |
| 2.241 | 77 |

---

Starting from a structure optimized by DFT (GGA-PBE), the XRD peak list of TlCo4Cl7 was computed for Cu Kα (λ = 1.5418 Å).
Intensities are scaled so that the largest is 100.

```
data_TlCo4Cl7
_chemical_formula_sum 'Tl2 Co8 Cl14'
_space_group_name_H-M_alt 'P 1'
_space_group_IT_number 1
_cell_length_a 15.764
_cell_length_b 6.262
_cell_length_c 6.024
_cell_angle_alpha 90.00
_cell_angle_beta 90.00
_cell_angle_gamma 90.00
loop_
_space_group_symop_operation_xyz
'x,y,z'
loop_
_atom_site_label
_atom_site_type_symbol
_atom_site_fract_x
_atom_site_fract_y
_atom_site_fract_z
Tl1 Tl 0.000 0.139 0.000
Tl2 Tl 0.500 0.861 0.500
Co1 Co 0.123 0.679 0.538
Co2 Co 0.249 0.189 0.524
Co3 Co 0.251 0.811 0.024
Co4 Co 0.377 0.321 0.038
Co5 Co 0.623 0.321 0.038
Co6 Co 0.749 0.811 0.024
Co7 Co 0.751 0.189 0.524
Co8 Co 0.877 0.679 0.538
Cl1 Cl 0.000 0.832 0.426
Cl2 Cl 0.120 0.326 0.448
Cl3 Cl 0.120 0.704 0.916
Cl4 Cl 0.245 0.836 0.408
Cl5 Cl 0.255 0.164 0.908
Cl6 Cl 0.380 0.296 0.416
Cl7 Cl 0.380 0.674 0.948
Cl8 Cl 0.500 0.168 0.926
Cl9 Cl 0.620 0.296 0.416
Cl10 Cl 0.620 0.674 0.948
Cl11 Cl 0.745 0.164 0.908
Cl12 Cl 0.755 0.836 0.408
Cl13 Cl 0.880 0.326 0.448
Cl14 Cl 0.880 0.704 0.916
```

Main lines, in order of falling intensity (10° ≤ 2θ ≤ 80°):
| d [Å] | I/Imax |
| --- | --- |
| 3.803 | 100 |
| 3.012 | 83 |
| 3.336 | 79 |
| 3.960 | 67 |
| 4.186 | 55 |
| 2.620 | 45 |

---

Starting from a structure optimized by DFT (GGA-PBE), the XRD peak list of Hf6Os2S was computed for Cu Kα (λ = 1.5418 Å).
Intensities are scaled so that the largest is 100.

```
data_Hf6Os2S
_chemical_formula_sum 'Hf12 Os4 S2'
_space_group_name_H-M_alt 'P 1'
_space_group_IT_number 1
_cell_length_a 5.898
_cell_length_b 6.655
_cell_length_c 10.730
_cell_angle_alpha 90.00
_cell_angle_beta 120.46
_cell_angle_gamma 90.00
loop_
_space_group_symop_operation_xyz
'x,y,z'
loop_
_atom_site_label
_atom_site_type_symbol
_atom_site_fract_x
_atom_site_fract_y
_atom_site_fract_z
Hf1 Hf 0.088 0.192 0.438
Hf2 Hf 0.088 0.308 0.938
Hf3 Hf 0.272 0.657 0.438
Hf4 Hf 0.272 0.843 0.938
Hf5 Hf 0.388 0.035 0.241
Hf6 Hf 0.388 0.465 0.741
Hf7 Hf 0.612 0.535 0.259
Hf8 Hf 0.612 0.965 0.759
Hf9 Hf 0.728 0.157 0.062
Hf10 Hf 0.728 0.343 0.562
Hf11 Hf 0.912 0.692 0.062
Hf12 Hf 0.912 0.808 0.562
Os1 Os 0.170 0.118 0.734
Os2 Os 0.170 0.382 0.234
Os3 Os 0.830 0.618 0.766
Os4 Os 0.830 0.882 0.266
S1 S 0.500 0.000 0.500
S2 S 0.500 0.500 0.000
```

Main lines, in order of falling intensity (10° ≤ 2θ ≤ 80°):
| d [Å] | I/Imax |
| --- | --- |
| 2.483 | 100 |
| 2.698 | 88 |
| 2.618 | 78 |
| 2.786 | 58 |
| 2.677 | 53 |
| 2.076 | 50 |

---

Starting from a structure optimized by DFT (GGA-PBE), the XRD peak list of Pa4HPb2 was computed for Cu Kα (λ = 1.5418 Å).
Intensities are scaled so that the largest is 100.

```
data_Pa4HPb2
_chemical_formula_sum 'Pa8 H2 Pb4'
_space_group_name_H-M_alt 'P 1'
_space_group_IT_number 1
_cell_length_a 4.599
_cell_length_b 4.599
_cell_length_c 16.195
_cell_angle_alpha 90.00
_cell_angle_beta 90.00
_cell_angle_gamma 90.00
loop_
_space_group_symop_operation_xyz
'x,y,z'
loop_
_atom_site_label
_atom_site_type_symbol
_atom_site_fract_x
_atom_site_fract_y
_atom_site_fract_z
Pa1 Pa 0.000 0.000 0.149
Pa2 Pa 0.000 0.000 0.851
Pa3 Pa 0.000 0.500 0.000
Pa4 Pa 0.000 0.500 0.500
Pa5 Pa 0.500 0.000 0.000
Pa6 Pa 0.500 0.000 0.500
Pa7 Pa 0.500 0.500 0.351
Pa8 Pa 0.500 0.500 0.649
H1 H 0.000 0.000 0.000
H2 H 0.500 0.500 0.500
Pb1 Pb 0.000 0.000 0.348
Pb2 Pb 0.000 0.000 0.652
Pb3 Pb 0.500 0.500 0.152
Pb4 Pb 0.500 0.500 0.848
```

Main lines, in order of falling intensity (10° ≤ 2θ ≤ 80°):
| d [Å] | I/Imax |
| --- | --- |
| 2.535 | 100 |
| 3.018 | 63 |
| 2.299 | 51 |
| 1.750 | 35 |
| 1.369 | 31 |
| 2.699 | 30 |

---

Starting from a structure optimized by DFT (GGA-PBE), the XRD peak list of AcPmNd2Sm2 was computed for Cu Kα (λ = 1.5418 Å).
Intensities are scaled so that the largest is 100.

```
data_AcPmNd2Sm2
_chemical_formula_sum 'Ac2 Pm2 Nd4 Sm4'
_space_group_name_H-M_alt 'P 1'
_space_group_IT_number 1
_cell_length_a 7.297
_cell_length_b 5.853
_cell_length_c 10.090
_cell_angle_alpha 90.00
_cell_angle_beta 90.00
_cell_angle_gamma 90.00
loop_
_space_group_symop_operation_xyz
'x,y,z'
loop_
_atom_site_label
_atom_site_type_symbol
_atom_site_fract_x
_atom_site_fract_y
_atom_site_fract_z
Ac1 Ac 0.000 0.000 0.000
Ac2 Ac 0.500 0.000 0.000
Pm1 Pm 0.250 0.500 0.170
Pm2 Pm 0.750 0.500 0.830
Nd1 Nd 0.000 0.500 0.500
Nd2 Nd 0.250 0.000 0.664
Nd3 Nd 0.500 0.500 0.500
Nd4 Nd 0.750 0.000 0.336
Sm1 Sm 0.250 0.000 0.336
Sm2 Sm 0.250 0.500 0.830
Sm3 Sm 0.750 0.000 0.664
Sm4 Sm 0.750 0.500 0.170
```

Main lines, in order of falling intensity (10° ≤ 2θ ≤ 80°):
| d [Å] | I/Imax |
| --- | --- |
| 2.959 | 100 |
| 2.916 | 67 |
| 2.926 | 34 |
| 1.547 | 31 |
| 1.692 | 26 |
| 2.080 | 25 |

---

Starting from a structure optimized by DFT (GGA-PBE), the XRD peak list of AcDy12Y6 was computed for Cu Kα (λ = 1.5418 Å).
Intensities are scaled so that the largest is 100.

```
data_AcDy12Y6
_chemical_formula_sum 'Ac1 Dy12 Y6'
_space_group_name_H-M_alt 'P 1'
_space_group_IT_number 1
_cell_length_a 8.745
_cell_length_b 8.745
_cell_length_c 8.745
_cell_angle_alpha 98.92
_cell_angle_beta 98.92
_cell_angle_gamma 98.92
loop_
_space_group_symop_operation_xyz
'x,y,z'
loop_
_atom_site_label
_atom_site_type_symbol
_atom_site_fract_x
_atom_site_fract_y
_atom_site_fract_z
Ac1 Ac 0.000 0.000 0.000
Dy1 Dy 0.079 0.356 0.356
Dy2 Dy 0.243 0.500 0.757
Dy3 Dy 0.243 0.757 0.500
Dy4 Dy 0.356 0.079 0.356
Dy5 Dy 0.356 0.356 0.079
Dy6 Dy 0.500 0.243 0.757
Dy7 Dy 0.500 0.757 0.243
Dy8 Dy 0.644 0.644 0.921
Dy9 Dy 0.644 0.921 0.644
Dy10 Dy 0.757 0.243 0.500
Dy11 Dy 0.757 0.500 0.243
Dy12 Dy 0.921 0.644 0.644
Y1 Y 0.107 0.107 0.654
Y2 Y 0.107 0.654 0.107
Y3 Y 0.346 0.893 0.893
Y4 Y 0.654 0.107 0.107
Y5 Y 0.893 0.346 0.893
Y6 Y 0.893 0.893 0.346
```

Main lines, in order of falling intensity (10° ≤ 2θ ≤ 80°):
| d [Å] | I/Imax |
| --- | --- |
| 2.805 | 100 |
| 2.847 | 76 |
| 3.034 | 63 |
| 2.831 | 57 |
| 2.617 | 56 |
| 1.661 | 43 |

---

Starting from a structure optimized by DFT (GGA-PBE), the XRD peak list of K2SrIn7 was computed for Cu Kα (λ = 1.5418 Å).
Intensities are scaled so that the largest is 100.

```
data_K2SrIn7
_chemical_formula_sum 'K4 Sr2 In14'
_space_group_name_H-M_alt 'P 1'
_space_group_IT_number 1
_cell_length_a 6.555
_cell_length_b 6.555
_cell_length_c 20.179
_cell_angle_alpha 90.00
_cell_angle_beta 90.00
_cell_angle_gamma 134.32
loop_
_space_group_symop_operation_xyz
'x,y,z'
loop_
_atom_site_label
_atom_site_type_symbol
_atom_site_fract_x
_atom_site_fract_y
_atom_site_fract_z
K1 K 0.161 0.839 0.552
K2 K 0.161 0.839 0.948
K3 K 0.839 0.161 0.052
K4 K 0.839 0.161 0.448
Sr1 Sr 0.341 0.659 0.750
Sr2 Sr 0.659 0.341 0.250
In1 In 0.045 0.955 0.750
In2 In 0.121 0.879 0.131
In3 In 0.121 0.879 0.369
In4 In 0.361 0.639 0.175
In5 In 0.361 0.639 0.325
In6 In 0.458 0.542 0.572
In7 In 0.458 0.542 0.928
In8 In 0.542 0.458 0.072
In9 In 0.542 0.458 0.428
In10 In 0.639 0.361 0.675
In11 In 0.639 0.361 0.825
In12 In 0.879 0.121 0.631
In13 In 0.879 0.121 0.869
In14 In 0.955 0.045 0.250
```

Main lines, in order of falling intensity (10° ≤ 2θ ≤ 80°):
| d [Å] | I/Imax |
| --- | --- |
| 3.059 | 100 |
| 3.015 | 96 |
| 2.544 | 63 |
| 2.487 | 52 |
| 2.221 | 46 |
| 2.755 | 29 |

---

Starting from a structure optimized by DFT (GGA-PBE), the XRD peak list of La3Al3Cu8 was computed for Cu Kα (λ = 1.5418 Å).
Intensities are scaled so that the largest is 100.

```
data_La3Al3Cu8
_chemical_formula_sum 'La3 Al3 Cu8'
_space_group_name_H-M_alt 'P 1'
_space_group_IT_number 1
_cell_length_a 8.208
_cell_length_b 8.208
_cell_length_c 8.208
_cell_angle_alpha 149.47
_cell_angle_beta 113.54
_cell_angle_gamma 74.89
loop_
_space_group_symop_operation_xyz
'x,y,z'
loop_
_atom_site_label
_atom_site_type_symbol
_atom_site_fract_x
_atom_site_fract_y
_atom_site_fract_z
La1 La 0.000 0.000 0.000
La2 La 0.294 0.294 0.000
La3 La 0.706 0.706 0.000
Al1 Al 0.300 0.500 0.800
Al2 Al 0.500 0.000 0.500
Al3 Al 0.700 0.500 0.200
Cu1 Cu 0.015 0.662 0.353
Cu2 Cu 0.159 0.872 0.287
Cu3 Cu 0.309 0.662 0.647
Cu4 Cu 0.415 0.128 0.287
Cu5 Cu 0.585 0.872 0.713
Cu6 Cu 0.691 0.338 0.353
Cu7 Cu 0.841 0.128 0.713
Cu8 Cu 0.985 0.338 0.647
```

Main lines, in order of falling intensity (10° ≤ 2θ ≤ 80°):
| d [Å] | I/Imax |
| --- | --- |
| 2.465 | 100 |
| 2.533 | 69 |
| 2.161 | 45 |
| 2.500 | 44 |
| 2.639 | 42 |
| 3.064 | 31 |

---

Starting from a structure optimized by DFT (GGA-PBE), the XRD peak list of NbP2W was computed for Cu Kα (λ = 1.5418 Å).
Intensities are scaled so that the largest is 100.

```
data_NbP2W
_chemical_formula_sum 'Nb3 P6 W3'
_space_group_name_H-M_alt 'P 1'
_space_group_IT_number 1
_cell_length_a 3.298
_cell_length_b 3.298
_cell_length_c 19.809
_cell_angle_alpha 90.00
_cell_angle_beta 90.00
_cell_angle_gamma 120.00
loop_
_space_group_symop_operation_xyz
'x,y,z'
loop_
_atom_site_label
_atom_site_type_symbol
_atom_site_fract_x
_atom_site_fract_y
_atom_site_fract_z
Nb1 Nb 0.000 0.000 0.000
Nb2 Nb 0.333 0.667 0.667
Nb3 Nb 0.667 0.333 0.333
P1 P 0.000 0.000 0.417
P2 P 0.000 0.000 0.577
P3 P 0.333 0.667 0.084
P4 P 0.333 0.667 0.244
P5 P 0.667 0.333 0.751
P6 P 0.667 0.333 0.910
W1 W 0.000 0.000 0.162
W2 W 0.333 0.667 0.829
W3 W 0.667 0.333 0.495
```

Main lines, in order of falling intensity (10° ≤ 2θ ≤ 80°):
| d [Å] | I/Imax |
| --- | --- |
| 2.827 | 100 |
| 2.317 | 100 |
| 2.010 | 80 |
| 1.650 | 70 |
| 2.745 | 61 |
| 3.301 | 53 |